(1)
# TbGa2Te4
Simulated X-ray powder pattern, CuKα. Input: a DFT-relaxed cell (PBE, Alexandria).
Peak positions follow from Bragg's law for the DFT cell and can differ from measured ones.

Peak list (6 most intense, 10° ≤ 2θ ≤ 90°, low angle first)
3.489 Å, 2θ = 25.53°, I = 26, hkl 0 0 2; 3.236 Å, 2θ = 27.56°, I = 100, hkl 1 2 1; 2.888 Å, 2θ = 30.96°, I = 33, hkl 2 2 0; 2.076 Å, 2θ = 43.60°, I = 48, hkl 3 1 2; 1.962 Å, 2θ = 46.27°, I = 24, hkl 1 2 3; 1.906 Å, 2θ = 47.72°, I = 31, hkl 4 1 1

Structure:
```
data_TbGa2Te4
_cell_length_a 8.168
_cell_length_b 8.168
_cell_length_c 6.978
_cell_angle_alpha 90.00
_cell_angle_beta 90.00
_cell_angle_gamma 90.00
_symmetry_space_group_name_H-M 'I 4/m'
_symmetry_Int_Tables_number 87
_symmetry_space_group_name_Hall '-I 4'
loop_
_atom_site_label
_atom_site_type_symbol
_atom_site_fract_x
_atom_site_fract_y
_atom_site_fract_z
_atom_site_occupancy
Tb1 Tb 0.000 0.000 0.000 1
Ga1 Ga 0.000 0.500 0.250 1
Te1 Te 0.175 0.691 0.500 1
```



(2)
# Nb6AgS8
Simulated X-ray powder pattern, CuKα. Input: a DFT-relaxed cell (PBE, Alexandria).
Peak positions follow from Bragg's law for the DFT cell and can differ from measured ones.

Peak list (6 most intense, 10° ≤ 2θ ≤ 90°, low angle first)
6.735 Å, 2θ = 13.15°, I = 100, hkl 1 0 1; 3.056 Å, 2θ = 29.23°, I = 86, hkl 2 1 1; 2.766 Å, 2θ = 32.37°, I = 61, hkl 1 2 2; 2.281 Å, 2θ = 39.50°, I = 71, hkl 1 3 1; 2.153 Å, 2θ = 41.97°, I = 44, hkl 4 -1 2; 2.037 Å, 2θ = 44.47°, I = 74, hkl 4 -2 3

Structure:
```
data_Nb6AgS8
_cell_length_a 9.6986
_cell_length_b 9.6986
_cell_length_c 11.2706
_cell_angle_alpha 90.00
_cell_angle_beta 90.00
_cell_angle_gamma 120.00
_symmetry_space_group_name_H-M 'R -3'
_symmetry_Int_Tables_number 148
_symmetry_space_group_name_Hall '-R 3'
loop_
_atom_site_label
_atom_site_type_symbol
_atom_site_fract_x
_atom_site_fract_y
_atom_site_fract_z
_atom_site_occupancy
Nb1 Nb 0.0171 0.8374 0.3834 1
Ag1 Ag 0.0000 0.0000 0.0000 1
S1 S 0.0000 0.0000 0.2167 1
S2 S 0.0231 0.7158 0.5775 1
```



(3)
# Tm5MnCu4
Simulated X-ray powder pattern, CuKα. Input: a DFT-relaxed cell (PBE, Alexandria).
Peak positions follow from Bragg's law for the DFT cell and can differ from measured ones.

Peak list (6 most intense, 10° ≤ 2θ ≤ 90°, low angle first)
3.389 Å, 2θ = 26.30°, I = 22, hkl 1 0 0; 2.436 Å, 2θ = 36.89°, I = 100, hkl 1 0 5; 2.396 Å, 2θ = 37.53°, I = 48, hkl 1 1 0; 1.694 Å, 2θ = 54.13°, I = 16, hkl 2 0 0; 1.415 Å, 2θ = 66.04°, I = 17, hkl 1 1 10; 1.391 Å, 2θ = 67.31°, I = 33, hkl 2 1 5

Structure:
```
data_Tm5MnCu4
_cell_length_a 3.389
_cell_length_b 3.389
_cell_length_c 17.528
_cell_angle_alpha 90.00
_cell_angle_beta 90.00
_cell_angle_gamma 90.00
_symmetry_space_group_name_H-M 'P 4/m m m'
_symmetry_Int_Tables_number 123
_symmetry_space_group_name_Hall '-P 4 2'
loop_
_atom_site_label
_atom_site_type_symbol
_atom_site_fract_x
_atom_site_fract_y
_atom_site_fract_z
_atom_site_occupancy
Tm1 Tm 0.000 0.000 0.000 1
Tm2 Tm 0.000 0.000 0.198 1
Tm3 Tm 0.000 0.000 0.397 1
Mn1 Mn 0.500 0.500 0.500 1
Cu1 Cu 0.500 0.500 0.098 1
Cu2 Cu 0.500 0.500 0.297 1
```